Starting from a DFT-relaxed cell (PBE, OQMD), the powder diffractogram of SmCO3 was calculated for λ = 1.5418 Å (Cu Kα).
Intensities are scaled so that the largest is 1000.

Peak list (6 most intense, 2θ from 10° to 80°, sorted by position)
22.7 deg, intensity 943; 30.6 deg, intensity 1000; 34.0 deg, intensity 491; 41.2 deg, intensity 339; 49.9 deg, intensity 390; 54.4 deg, intensity 299

Structure:
Unit cell a=5.2795 b=5.2795 c=15.2173 alpha=90.00 beta=90.00 gamma=120.00
Space group R-3c (No. 167, hexagonal axes)
Symmetry-distinct sites (fractional):
Sm 0.0000 0.0000 0.0000 x6
C 0.0000 0.0000 0.2500 x6
O 0.0000 0.2504 0.2500 x18

Starting from a DFT-relaxed cell (PBE, OQMD), the powder diffractogram of TcC5O5 was calculated for λ = 1.5418 Å (Cu Kα).
Intensities are scaled so that the largest is 1000.

Peak list (6 most intense, 2θ from 10° to 80°, sorted by position)
13.0 deg, intensity 710; 14.6 deg, intensity 1000; 15.7 deg, intensity 606; 18.4 deg, intensity 845; 31.3 deg, intensity 687; 32.3 deg, intensity 510

Structure:
Unit cell a=17.1323 b=6.7515 c=14.0994 alpha=90.00 beta=127.02 gamma=90.00
Space group C2/c (No. 15)
Symmetry-distinct sites (fractional):
Tc 0.1002 0.0151 0.2777 x8
C 0.0270 0.1427 0.1193 x8
C 0.0584 0.2523 0.7035 x8
C 0.1297 0.2762 0.3563 x8
C 0.1480 0.1015 0.9334 x8
C 0.2219 0.0036 0.2984 x8
O 0.0173 0.2165 0.4735 x8
O 0.0333 0.4088 0.6628 x8
O 0.1510 0.4235 0.4086 x8
O 0.1739 0.1615 0.0251 x8
O 0.2058 0.4957 0.1918 x8

Starting from a DFT-relaxed cell (PBE, OQMD), the powder diffractogram of ZrC6O5 was calculated for λ = 1.5418 Å (Cu Kα).
Intensities are scaled so that the largest is 1000.

Peak list (6 most intense, 2θ from 10° to 80°, sorted by position)
10.2 deg, intensity 1000; 13.6 deg, intensity 237; 15.2 deg, intensity 460; 20.8 deg, intensity 212; 28.6 deg, intensity 182; 29.3 deg, intensity 203

Structure:
Unit cell a=14.2676 b=11.6660 c=7.8533 alpha=90.00 beta=113.82 gamma=90.00
Space group Cc (No. 9)
Symmetry-distinct sites (fractional):
Zr 0.0000 0.0267 0.0000 x4
Zr 0.2987 0.4696 0.0963 x4
C 0.0192 0.3714 0.5979 x4
C 0.1327 0.3880 0.6826 x4
C 0.1726 0.0698 0.3764 x4
C 0.2803 0.0840 0.4227 x4
C 0.3645 0.0974 0.5718 x4
C 0.3685 0.1245 0.3845 x4
C 0.3797 0.2471 0.3346 x4
C 0.4156 0.0741 0.7675 x4
C 0.4235 0.0522 0.2963 x4
C 0.4369 0.2784 0.8469 x4
C 0.4570 0.1551 0.8986 x4
C 0.4728 0.1000 0.2057 x4
O 0.9996 0.1550 0.4715 x4
O 0.1096 0.1186 0.2304 x4
O 0.1502 0.0111 0.4917 x4
O 0.1720 0.4208 0.5702 x4
O 0.1789 0.3794 0.8581 x4
O 0.3115 0.2896 0.1868 x4
O 0.3349 0.4801 0.3816 x4
O 0.3641 0.3094 0.6994 x4
O 0.4566 0.4689 0.2103 x4
O 0.4617 0.2944 0.4435 x4

Starting from a DFT-relaxed cell (PBE, OQMD), the powder diffractogram of OsC8 was calculated for λ = 1.5418 Å (Cu Kα).
Intensities are scaled so that the largest is 1000.

Peak list (6 most intense, 2θ from 10° to 80°, sorted by position)
21.4 deg, intensity 1000; 23.7 deg, intensity 789; 27.3 deg, intensity 555; 36.3 deg, intensity 259; 36.6 deg, intensity 251; 48.6 deg, intensity 329

Structure:
Unit cell a=4.9940 b=8.6999 c=14.9110 alpha=90.00 beta=90.00 gamma=90.00
Space group Fddd (No. 70, origin choice 2)
Symmetry-distinct sites (fractional):
Os 0.1250 0.1250 0.1250 x8
C 0.1244 0.2922 0.9998 x32
C 0.1243 0.2919 0.4960 x32

Starting from a DFT-relaxed cell (PBE, OQMD), the powder diffractogram of Os5C was calculated for λ = 1.5418 Å (Cu Kα).
Intensities are scaled so that the largest is 1000.

Peak list (6 most intense, 2θ from 10° to 80°, sorted by position)
20.8 deg, intensity 984; 39.0 deg, intensity 455; 41.5 deg, intensity 841; 44.6 deg, intensity 280; 46.8 deg, intensity 1000; 76.2 deg, intensity 243

Structure:
Unit cell a=4.9399 b=4.9399 c=4.6189 alpha=90.00 beta=90.00 gamma=120.00
Space group P6/mmm (No. 191)
Symmetry-distinct sites (fractional):
Os 0.0000 0.5000 0.0000 x3
Os 0.3333 0.6667 0.5000 x2
C 0.0000 0.0000 0.5000 x1

Starting from a DFT-relaxed cell (PBE, OQMD), the powder diffractogram of Pr2Re2OsC5 was calculated for λ = 1.5418 Å (Cu Kα).
Intensities are scaled so that the largest is 1000.

Peak list (6 most intense, 2θ from 10° to 80°, sorted by position)
31.0 deg, intensity 1000; 33.9 deg, intensity 329; 34.7 deg, intensity 262; 34.9 deg, intensity 457; 35.5 deg, intensity 673; 43.2 deg, intensity 204

Structure:
Unit cell a=10.6953 b=3.9829 c=7.7398 alpha=90.00 beta=124.22 gamma=90.00
Space group C2 (No. 5)
Symmetry-distinct sites (fractional):
Pr 0.1532 0.0000 0.2646 x4
Re 0.1328 0.4961 0.9033 x4
Os 0.0000 0.1398 0.5000 x2
C 0.0000 0.4990 0.0000 x2
C 0.0446 0.6177 0.4454 x4
C 0.1495 0.0064 0.8183 x4

Starting from a DFT-relaxed cell (PBE, OQMD), the powder diffractogram of PrSmOs4C4 was calculated for λ = 1.5418 Å (Cu Kα).
Intensities are scaled so that the largest is 1000.

Peak list (6 most intense, 2θ from 10° to 80°, sorted by position)
19.3 deg, intensity 183; 32.5 deg, intensity 934; 34.3 deg, intensity 1000; 38.8 deg, intensity 375; 42.8 deg, intensity 494; 52.7 deg, intensity 244

Structure:
Unit cell a=6.3285 b=9.2868 c=9.7251 alpha=90.00 beta=90.00 gamma=90.00
Space group F222 (No. 22)
Symmetry-distinct sites (fractional):
Pr 0.0000 0.0000 0.0000 x4
Sm 0.2500 0.2500 0.2500 x4
Os 0.0000 0.0000 0.3622 x8
Os 0.2500 0.2500 0.6132 x8
C 0.0000 0.1820 0.5000 x8
C 0.2500 0.0665 0.7500 x8

Starting from a DFT-relaxed cell (PBE, OQMD), the powder diffractogram of TmSc2OsC4 was calculated for λ = 1.5418 Å (Cu Kα).
Intensities are scaled so that the largest is 1000.

Peak list (6 most intense, 2θ from 10° to 80°, sorted by position)
14.2 deg, intensity 997; 28.6 deg, intensity 252; 32.6 deg, intensity 207; 35.7 deg, intensity 1000; 43.9 deg, intensity 420; 70.1 deg, intensity 205

Structure:
Unit cell a=3.4822 b=4.4853 c=12.4738 alpha=90.00 beta=90.00 gamma=90.00
Space group Immm (No. 71)
Symmetry-distinct sites (fractional):
Tm 0.0000 0.0000 0.0000 x2
Sc 0.0000 0.5000 0.1918 x4
Os 0.0000 0.0000 0.5000 x2
C 0.0000 0.3368 0.3692 x8